Structure and calculated powder diffraction line list of Tb6HoTl6 (the GGA-PBE geometry in Alexandria; λ = 1.5418 Å (Cu Kα)).

Principal peaks in the range 2θ from 5° to 70°, by angle:
2θ/deg	intensity	(hkl)
27.66	23	1 1 0
29.94	19	1 0 3
32.05	57	2 0 0
32.51	64	1 1 2
33.85	30	0 0 4
36.37	100	2 0 2
37.59	21	1 0 4
57.13	32	2 2 0
59.71	25	1 1 6
68.08	24	2 2 4

Structural model:
```
Tb6HoTl6
1.0
6.4495 0.0000 0.0000
-3.2248 5.5855 0.0000
0.0000 0.0000 10.5929
Tb Ho Tl
6 1 6
Cartesian
0.0000 0.0000 1.7551 Tb
0.0000 0.0000 8.8378 Tb
0.0000 3.7236 0.0000 Tb
0.0000 3.7236 5.2964 Tb
3.2248 1.8618 0.0000 Tb
3.2248 1.8618 5.2964 Tb
0.0000 0.0000 5.2964 Ho
-1.6124 2.7927 2.6848 Tl
-1.6124 2.7927 7.9081 Tl
3.2248 0.0000 2.6848 Tl
3.2248 0.0000 7.9081 Tl
1.6124 2.7927 2.6848 Tl
1.6124 2.7927 7.9081 Tl
```